Structure and simulated XRD peak list of LiNiP3O9 (a structure optimized by DFT (GGA+U); Cu Kα X-rays).

Peak list (10 most intense, 15° ≤ 2θ ≤ 90°, most intense first)
2theta  Rel. int.
16.22  100
23.86  60
22.11  55
32.57  55
26.67  38
32.78  31
18.89  30
35.91  29
23.33  27
47.71  25

Cell and atoms:
Cell: 5.101 12.034 13.057 Å, 90.00 90.00 90.00°
Space group Pbcm (No. 57)
Asymmetric unit:
Li1 0.020 0.010 0.250 [4 per cell]
Ni1 0.000 0.000 0.000 [4 per cell]
P1 0.243 0.250 0.000 [4 per cell]
P2 0.499 0.586 0.135 [8 per cell]
O1 0.097 0.156 0.548 [8 per cell]
O2 0.211 0.558 0.134 [8 per cell]
O3 0.307 0.501 0.603 [8 per cell]
O4 0.415 0.121 0.250 [4 per cell]
O5 0.455 0.203 0.081 [8 per cell]